# Nd4C2IBr4
Simulated PXRD pattern, Cu Kα X-rays. Input: a structure optimized by DFT (PBE).
Peak positions follow from Bragg's law for the DFT cell and can differ from measured ones.

Top 6 peaks for 2θ from 10° to 80°, by angle:
d_spacing, intensity, index
8.303, 30.4, 0 0 1
3.278, 27.7, 3 1 -1
3.129, 67.7, 6 0 0
2.920, 100.0, 1 1 -2
2.170, 36.0, 7 1 -2
2.102, 39.0, 5 1 2

Crystal structure
```
data_Nd4C2IBr4
_chemical_formula_sum 'Nd8 C4 I2 Br8'
_cell_length_a 19.4808
_cell_length_b 3.9746
_cell_length_c 8.6146
_cell_angle_alpha 90.00
_cell_angle_beta 105.45
_cell_angle_gamma 90.00
_space_group_name_H-M_alt 'C 1 2/m 1'
_space_group_IT_number 12
_space_group_name_Hall '-C 2y'
loop_
_atom_site_label
_atom_site_type_symbol
_atom_site_fract_x
_atom_site_fract_y
_atom_site_fract_z
Nd1 Nd 0.9999 0.0000 0.1927
Nd2 Nd 0.1576 0.5000 0.1032
C1 C 0.0374 0.5000 0.0241
I1 I 0.0000 0.5000 0.5000
Br1 Br 0.1606 0.0000 0.3598
Br2 Br 0.1672 0.0000 0.8436
```